For CsGeBiSe3, the GGA-PBE geometry in Alexandria gives the calculated PXRD pattern in this record (copper Kα).
Peak positions follow from Bragg's law for the DFT cell and can differ from measured ones.

Largest 10 diffraction maxima, most intense first, 15 to 90 degrees two-theta:
two_theta	I_rel	h k l
30.00	100	2 1 0
30.20	66	1 0 -4
26.50	43	1 1 1
44.08	36	1 1 4
42.10	29	3 1 -4
36.48	27	3 1 -1
43.79	25	0 2 0
28.93	25	2 1 -1
54.12	24	1 2 -4
33.44	23	2 1 -3

Structural model:
```
12
Lattice="9.2746 0.0000 0.0000 0.0000 4.1346 0.0000 -4.4856 0.0000 10.9772" Properties=species:S:1:pos:R:3 pbc="T T T"
Cs 0.9569 1.0336 3.1736
Cs 3.8322 3.1009 7.8037
Ge -1.3783 1.0336 6.1438
Ge 6.1674 3.1009 4.8335
Bi -0.4075 3.1009 9.2872
Bi 5.1965 1.0336 1.6901
Se -2.3943 1.0336 8.4129
Se 0.3394 3.1009 6.3885
Se 3.2085 3.1009 1.1061
Se 1.5806 1.0336 9.8711
Se 4.4496 1.0336 4.5888
Se 7.1834 3.1009 2.5644
```